The following is a theoretical PXRD pattern of Hf2TaMoO. It was derived from a cell relaxed with PBE+U, using Cu Kα X-rays.
No peak broadening, texture or thermal motion is included.

Top 10 peaks for 10° ≤ 2θ ≤ 90°, sorted by position:
2theta, I/Imax
23.80, 11
29.28, 24
34.00, 100
45.50, 15
48.69, 9
48.90, 18
60.74, 19
60.87, 19
71.49, 12
81.74, 12

Cell and atoms:
Unit cell a=5.2681 b=5.2681 c=3.7402 alpha=90.00 beta=90.00 gamma=90.00
Positions (direct):
1 Hf 0.0000 0.5000 0.0000
2 Hf 0.5000 0.0000 0.0000
3 Ta 0.0000 0.0000 0.5000
4 Mo 0.5000 0.5000 0.0000
5 O 0.5000 0.5000 0.5000